The following is a calculated powder X-ray diffraction pattern of Ba2LaMgCu3O7. It was derived from a cell relaxed with GGA-PBE, using a wavelength of 1.5418 Å.
Kinematic intensities with the Lorentz-polarization factor, no thermal factor.

Principal peaks in the range 2θ from 10° to 80°, in order of rising 2θ:
hkl 0 1 3, 28.8 deg, I = 606
hkl 1 0 3, 29.8 deg, I = 500
hkl 1 1 0, 32.5 deg, I = 1000
hkl 0 1 4, 33.1 deg, I = 859
hkl 1 0 4, 34.0 deg, I = 866
hkl 1 1 3, 37.5 deg, I = 315
hkl 0 2 0, 45.2 deg, I = 427
hkl 2 0 0, 47.9 deg, I = 318
hkl 1 1 7, 55.1 deg, I = 564
hkl 1 2 4, 57.8 deg, I = 362

Crystal structure
```
data_Ba2LaMgCu3O7
_chemical_formula_sum 'Ba2 La1 Mg1 Cu3 O7'
_symmetry_space_group_name_H-M 'P m m 2'
_symmetry_Int_Tables_number 25
_cell_length_a 3.7950
_cell_length_b 4.0086
_cell_length_c 14.6341
_cell_angle_alpha 90.00
_cell_angle_beta 90.00
_cell_angle_gamma 90.00
loop_
_symmetry_equiv_pos_as_xyz
'x,y,z'
'-x,-y,z'
'-x,y,z'
'x,-y,z'
loop_
_atom_site_label
_atom_site_fract_x
_atom_site_fract_y
_atom_site_fract_z
_atom_site_occupancy
Ba1 0.0000 0.0000 0.0000 1
Ba2 0.0000 0.0000 0.3020 1
La1 0.0000 0.0000 0.7397 1
Mg1 0.0000 0.5000 0.4901 1
Cu1 0.5000 0.5000 0.1546 1
Cu2 0.5000 0.5000 0.6278 1
Cu3 0.5000 0.5000 0.8642 1
O1 0.0000 0.5000 0.6225 1
O2 0.0000 0.5000 0.8397 1
O3 0.5000 0.0000 0.1903 1
O4 0.5000 0.0000 0.6361 1
O5 0.5000 0.0000 0.8533 1
O6 0.5000 0.5000 0.0228 1
O7 0.5000 0.5000 0.4237 1
```

---

The following is a calculated powder X-ray diffraction pattern of LiCo2N3. It was derived from a cell relaxed with GGA-PBE, using a wavelength of 1.5418 Å.
Kinematic intensities with the Lorentz-polarization factor, no thermal factor.

Principal peaks in the range 2θ from 10° to 80°, in order of rising 2θ:
hkl 2 0 0, 18.9 deg, I = 708
hkl 1 1 0, 19.0 deg, I = 381
hkl 1 1 1, 26.3 deg, I = 1000
hkl 3 1 0, 33.0 deg, I = 613
hkl 0 0 2, 36.4 deg, I = 627
hkl 3 1 1, 37.9 deg, I = 925
hkl 0 2 1, 38.1 deg, I = 513
hkl 3 3 0, 59.3 deg, I = 338
hkl 3 1 3, 66.5 deg, I = 294
hkl 3 3 2, 71.6 deg, I = 271

Crystal structure
```
data_LiCo2N3
_chemical_formula_sum 'Li4 Co8 N12'
_symmetry_space_group_name_H-M 'C m c 21'
_symmetry_Int_Tables_number 36
_cell_length_a 9.4118
_cell_length_b 5.3858
_cell_length_c 4.9362
_cell_angle_alpha 90.00
_cell_angle_beta 90.00
_cell_angle_gamma 90.00
loop_
_symmetry_equiv_pos_as_xyz
'x,y,z'
'-x,-y,z+1/2'
'-x,y,z'
'x,-y,z+1/2'
'x+1/2,y+1/2,z'
'-x+1/2,-y+1/2,z+1/2'
'-x+1/2,y+1/2,z'
'x+1/2,-y+1/2,z+1/2'
loop_
_atom_site_label
_atom_site_fract_x
_atom_site_fract_y
_atom_site_fract_z
_atom_site_occupancy
Li1 0.0000 0.1727 0.0000 1
Co1 0.1657 0.3367 0.5114 1
N1 0.0000 0.2126 0.4362 1
N2 0.1924 0.3538 0.8758 1
```

---

The following is a calculated powder X-ray diffraction pattern of Lu3InC. It was derived from a cell relaxed with GGA-PBE, using a wavelength of 1.5418 Å.
Kinematic intensities with the Lorentz-polarization factor, no thermal factor.

Principal peaks in the range 2θ from 10° to 80°, in order of rising 2θ:
hkl 1 0 0, 18.5 deg, I = 35
hkl 1 1 0, 26.3 deg, I = 12
hkl 1 1 1, 32.4 deg, I = 1000
hkl 2 0 0, 37.6 deg, I = 538
hkl 2 1 0, 42.2 deg, I = 17
hkl 2 1 1, 46.5 deg, I = 7
hkl 2 2 0, 54.2 deg, I = 373
hkl 3 0 0, 57.8 deg, I = 9
hkl 3 1 1, 64.6 deg, I = 418
hkl 2 2 2, 67.8 deg, I = 126

Crystal structure
```
data_Lu3InC
_chemical_formula_sum 'Lu3 In1 C1'
_symmetry_space_group_name_H-M 'P m -3 m'
_symmetry_Int_Tables_number 221
_symmetry_space_group_name_Hall '-P 4 2 3'
_cell_length_a 4.7881
_cell_length_b 4.7881
_cell_length_c 4.7881
_cell_angle_alpha 90.00
_cell_angle_beta 90.00
_cell_angle_gamma 90.00
loop_
_atom_site_label
_atom_site_fract_x
_atom_site_fract_y
_atom_site_fract_z
_atom_site_occupancy
Lu1 0.0000 0.0000 0.5000 1
In1 0.5000 0.5000 0.5000 1
C1 0.0000 0.0000 0.0000 1
```

---

The following is a calculated powder X-ray diffraction pattern of SmB4Ir4. It was derived from a cell relaxed with GGA-PBE, using a wavelength of 1.5418 Å.
Kinematic intensities with the Lorentz-polarization factor, no thermal factor.

Principal peaks in the range 2θ from 10° to 80°, in order of rising 2θ:
hkl 1 1 0, 16.3 deg, I = 184
hkl 1 1 1, 27.8 deg, I = 217
hkl 1 2 1, 34.5 deg, I = 1000
hkl 3 1 0, 37.0 deg, I = 623
hkl 2 2 1, 40.2 deg, I = 256
hkl 1 0 2, 47.1 deg, I = 225
hkl 2 4 0, 53.3 deg, I = 148
hkl 3 0 2, 58.7 deg, I = 150
hkl 4 3 1, 65.0 deg, I = 198
hkl 4 1 2, 69.0 deg, I = 133

Crystal structure
```
data_SmB4Ir4
_chemical_formula_sum 'Sm2 B8 Ir8'
_symmetry_space_group_name_H-M 'P 42/n'
_symmetry_Int_Tables_number 86
_cell_length_a 7.6856
_cell_length_b 7.6856
_cell_length_c 3.9866
_cell_angle_alpha 90.00
_cell_angle_beta 90.00
_cell_angle_gamma 90.00
loop_
_symmetry_equiv_pos_as_xyz
'x,y,z'
'-x,-y,-z'
'-y,x+1/2,z+1/2'
'y,-x+1/2,-z+1/2'
'-x+1/2,-y+1/2,z'
'x+1/2,y+1/2,-z'
'y+1/2,-x,z+1/2'
'-y+1/2,x,-z+1/2'
loop_
_atom_site_label
_atom_site_fract_x
_atom_site_fract_y
_atom_site_fract_z
_atom_site_occupancy
Sm1 0.2500 0.2500 0.2500 1
B1 0.0289 0.5919 0.1396 1
Ir1 0.0902 0.8592 0.1392 1
```

---

The following is a calculated powder X-ray diffraction pattern of Pr2Ta3Se2O8. It was derived from a cell relaxed with GGA-PBE, using a wavelength of 1.5418 Å.
Kinematic intensities with the Lorentz-polarization factor, no thermal factor.

Principal peaks in the range 2θ from 10° to 80°, in order of rising 2θ:
hkl 0 2 0, 14.7 deg, I = 374
hkl 0 2 2, 27.6 deg, I = 616
hkl 3 1 0, 27.8 deg, I = 1000
hkl 1 2 2, 29.0 deg, I = 990
hkl 2 1 2, 30.3 deg, I = 387
hkl 3 2 0, 30.7 deg, I = 388
hkl 1 4 0, 31.1 deg, I = 298
hkl 2 3 2, 37.1 deg, I = 306
hkl 0 0 4, 47.3 deg, I = 380
hkl 4 4 2, 53.3 deg, I = 364

Crystal structure
```
data_Pr2Ta3Se2O8
_chemical_formula_sum 'Pr8 Ta12 Se8 O32'
_symmetry_space_group_name_H-M 'P n n m'
_symmetry_Int_Tables_number 58
_cell_length_a 10.0022
_cell_length_b 12.0173
_cell_length_c 7.6828
_cell_angle_alpha 90.00
_cell_angle_beta 90.00
_cell_angle_gamma 90.00
loop_
_symmetry_equiv_pos_as_xyz
'x,y,z'
'-x,-y,-z'
'-x,-y,z'
'x,y,-z'
'x+1/2,-y+1/2,-z+1/2'
'-x+1/2,y+1/2,z+1/2'
'-x+1/2,y+1/2,-z+1/2'
'x+1/2,-y+1/2,z+1/2'
loop_
_atom_site_label
_atom_site_fract_x
_atom_site_fract_y
_atom_site_fract_z
_atom_site_occupancy
Pr1 0.2102 0.1568 0.0000 1
Pr2 0.2273 0.1490 0.5000 1
Ta1 0.0000 0.5000 0.2855 1
Ta2 0.1359 0.9166 0.2497 1
Se1 0.0198 0.3367 0.5000 1
Se2 0.0233 0.3617 0.0000 1
O1 0.0561 0.1029 0.2542 1
O2 0.1354 0.9485 0.0000 1
O3 0.1503 0.9511 0.5000 1
O4 0.1972 0.5246 0.2648 1
O5 0.2124 0.7760 0.2482 1
```

---

The following is a calculated powder X-ray diffraction pattern of Er2Al3Co. It was derived from a cell relaxed with GGA-PBE, using a wavelength of 1.5418 Å.
Kinematic intensities with the Lorentz-polarization factor, no thermal factor.

Principal peaks in the range 2θ from 10° to 80°, in order of rising 2θ:
hkl 1 0 0, 18.7 deg, I = 192
hkl 0 0 2, 20.9 deg, I = 378
hkl 1 0 1, 21.4 deg, I = 228
hkl 1 1 0, 32.6 deg, I = 935
hkl 1 0 3, 36.9 deg, I = 732
hkl 1 1 2, 39.0 deg, I = 1000
hkl 2 0 1, 39.3 deg, I = 236
hkl 2 1 3, 61.0 deg, I = 353
hkl 3 0 2, 62.5 deg, I = 248
hkl 2 0 5, 67.6 deg, I = 210

Crystal structure
```
data_Er2Al3Co
_chemical_formula_sum 'Er4 Al6 Co2'
_symmetry_space_group_name_H-M 'P 63/m m c'
_symmetry_Int_Tables_number 194
_symmetry_space_group_name_Hall '-P 6c 2c'
_cell_length_a 5.4928
_cell_length_b 5.4928
_cell_length_c 8.5198
_cell_angle_alpha 90.00
_cell_angle_beta 90.00
_cell_angle_gamma 120.00
loop_
_atom_site_label
_atom_site_fract_x
_atom_site_fract_y
_atom_site_fract_z
_atom_site_occupancy
Er1 0.3333 0.6667 0.0557 1
Al1 0.1614 0.3228 0.7500 1
Co1 0.0000 0.0000 0.0000 1
```

---

The following is a calculated powder X-ray diffraction pattern of NdCuSi. It was derived from a cell relaxed with GGA-PBE, using a wavelength of 1.5418 Å.
Kinematic intensities with the Lorentz-polarization factor, no thermal factor.

Principal peaks in the range 2θ from 10° to 80°, in order of rising 2θ:
hkl 1 0 0, 24.4 deg, I = 267
hkl 1 0 2, 33.4 deg, I = 1000
hkl 1 1 0, 42.9 deg, I = 387
hkl 0 0 4, 45.8 deg, I = 107
hkl 1 0 4, 52.6 deg, I = 69
hkl 2 0 2, 55.4 deg, I = 231
hkl 1 1 4, 64.6 deg, I = 223
hkl 2 1 2, 72.6 deg, I = 203
hkl 1 0 6, 76.7 deg, I = 87
hkl 3 0 0, 78.6 deg, I = 63

Crystal structure
```
data_NdCuSi
_chemical_formula_sum 'Nd2 Cu2 Si2'
_symmetry_space_group_name_H-M 'P 63/m m c'
_symmetry_Int_Tables_number 194
_symmetry_space_group_name_Hall '-P 6c 2c'
_cell_length_a 4.2144
_cell_length_b 4.2144
_cell_length_c 7.9264
_cell_angle_alpha 90.00
_cell_angle_beta 90.00
_cell_angle_gamma 120.00
loop_
_atom_site_label
_atom_site_fract_x
_atom_site_fract_y
_atom_site_fract_z
_atom_site_occupancy
Nd1 0.0000 0.0000 0.0000 1
Cu1 0.3333 0.6667 0.2500 1
Si1 0.3333 0.6667 0.7500 1
```